[1]
This entry pairs a crystal structure of Li3MnCoO5 with its computed powder diffraction line list. Radiation: copper Kα. Structure: a DFT-relaxed cell (PBE+U, the Materials Project).
No peak broadening, texture or thermal motion is included.

Largest 8 diffraction maxima, low angle first, 10° ≤ 2θ ≤ 90°:
| 2θ (°) | I/Imax |
| --- | --- |
| 10.76 | 20 |
| 17.97 | 100 |
| 35.50 | 41 |
| 42.88 | 94 |
| 56.37 | 14 |
| 61.81 | 25 |
| 62.71 | 26 |
| 65.81 | 14 |

Lattice parameters (Å, degrees): 24.734 24.734 24.734 6.87 6.87 6.87
Element x y z (fractional)
Li  0.000  0.000  0.000
Li  0.098  0.098  0.098
Li  0.301  0.301  0.301
Li  0.500  0.500  0.500
Li  0.699  0.699  0.699
Li  0.902  0.902  0.902
Mn  0.201  0.201  0.201
Mn  0.799  0.799  0.799
Co  0.400  0.400  0.400
Co  0.600  0.600  0.600
O  0.052  0.052  0.052
O  0.148  0.148  0.148
O  0.251  0.251  0.251
O  0.351  0.351  0.351
O  0.452  0.452  0.452
O  0.548  0.548  0.548
O  0.649  0.649  0.649
O  0.749  0.749  0.749
O  0.852  0.852  0.852
O  0.948  0.948  0.948

***

[2]
This entry pairs a crystal structure of Li7Mn2Co3O12 with its computed powder diffraction line list. Radiation: copper Kα. Structure: a DFT-relaxed cell (PBE+U, the Materials Project).
No peak broadening, texture or thermal motion is included.

Largest 8 diffraction maxima, low angle first, 10° ≤ 2θ ≤ 90°:
| 2θ (°) | I/Imax |
| --- | --- |
| 18.45 | 100 |
| 35.25 | 16 |
| 36.38 | 12 |
| 36.68 | 13 |
| 42.40 | 32 |
| 44.33 | 27 |
| 44.54 | 27 |
| 62.77 | 8 |

Lattice parameters (Å, degrees): 2.931 5.062 14.995 96.32 94.33 104.59
Element x y z (fractional)
Li  0.000  0.000  0.000
Li  0.006  0.759  0.253
Li  0.299  0.569  0.075
Li  0.329  0.083  0.587
Li  0.662  0.907  0.422
Li  0.676  0.415  0.924
Li  0.993  0.238  0.754
Mn  0.319  0.325  0.337
Mn  0.651  0.162  0.162
Co  0.002  0.495  0.504
Co  0.320  0.828  0.841
Co  0.671  0.668  0.670
O  0.010  0.390  0.625
O  0.021  0.608  0.383
O  0.023  0.909  0.132
O  0.292  0.422  0.212
O  0.308  0.221  0.461
O  0.322  0.933  0.716
O  0.325  0.703  0.948
O  0.624  0.049  0.291
O  0.668  0.291  0.054
O  0.686  0.575  0.795
O  0.697  0.768  0.548
O  0.960  0.073  0.871

***

[3]
This entry pairs a crystal structure of Li7Mn4CoO12 with its computed powder diffraction line list. Radiation: copper Kα. Structure: a DFT-relaxed cell (PBE+U, the Materials Project).
No peak broadening, texture or thermal motion is included.

Largest 8 diffraction maxima, low angle first, 10° ≤ 2θ ≤ 90°:
| 2θ (°) | I/Imax |
| --- | --- |
| 18.40 | 100 |
| 34.80 | 16 |
| 36.38 | 24 |
| 42.04 | 33 |
| 44.17 | 28 |
| 44.30 | 28 |
| 62.55 | 16 |
| 62.64 | 8 |

Lattice parameters (Å, degrees): 5.073 5.951 7.633 81.02 77.55 75.23
Element x y z (fractional)
Li  0.000  0.000  0.000
Li  0.000  0.173  0.331
Li  0.003  0.333  0.677
Li  0.009  0.508  0.999
Li  0.496  0.672  0.838
Li  0.992  0.836  0.676
Li  0.995  0.679  0.330
Mn  0.496  0.839  0.166
Mn  0.501  0.173  0.836
Mn  0.502  0.998  0.504
Mn  0.503  0.502  0.503
Co  0.497  0.349  0.161
O  0.262  0.673  0.097
O  0.265  0.855  0.415
O  0.267  0.194  0.070
O  0.275  0.016  0.742
O  0.283  0.477  0.745
O  0.290  0.314  0.418
O  0.718  0.869  0.923
O  0.721  0.692  0.571
O  0.723  0.001  0.262
O  0.729  0.328  0.926
O  0.731  0.489  0.259
O  0.734  0.151  0.598